The following is a simulated powder diffraction line list of ErZrSnC. It was derived from a crystal structure in OQMD, relaxed with GGA-PBE, using Cu Kα.

The 12 most intense peaks (2θ from 10° to 90°), in order of rising 2θ:
hkl  2theta  I (rel.)
0 0 2  11.63  59
1 0 0  29.79  222
1 0 1  30.38  44
1 0 3  34.75  1000
0 0 6  35.40  199
1 0 6  46.93  156
1 1 0  52.88  212
1 0 9  63.14  176
2 0 3  64.84  165
1 1 6  65.25  206
2 0 9  86.83  77
2 1 3  88.35  149

```
data_ErZrSnC
_chemical_formula_sum 'Er2 Zr2 Sn2 C2'
_cell_length_a 3.4631
_cell_length_b 3.4631
_cell_length_c 15.2118
_cell_angle_alpha 90.00
_cell_angle_beta 90.00
_cell_angle_gamma 120.00
_space_group_name_H-M_alt 'P 1'
_space_group_IT_number 1
loop_
_space_group_symop_operation_xyz
'x,y,z'
loop_
_atom_site_label
_atom_site_type_symbol
_atom_site_fract_x
_atom_site_fract_y
_atom_site_fract_z
_atom_site_occupancy
Er1 Er 0.3333 0.6667 0.0000 1
Er2 Er 0.6667 0.3333 0.5000 1
Zr1 Zr 0.3333 0.6667 0.6700 1
Zr2 Zr 0.6667 0.3333 0.1700 1
Sn1 Sn 0.3333 0.6667 0.3292 1
Sn2 Sn 0.6667 0.3333 0.8292 1
C1 C 0.0000 0.0000 0.0924 1
C2 C 0.0000 0.0000 0.5924 1
```